Simulated X-ray diffraction stick pattern of B2H5 for Cu Kα, 1.54184 Å, from a crystal structure in the Materials Project, relaxed with PBE.
Peak positions follow from Bragg's law for the DFT cell and can differ from measured ones.

The 6 most intense peaks (10° ≤ 2θ ≤ 90°), in order of falling intensity:
Position (°2θ), d/Å, I_rel, index
20.0, 4.444, 100, 0 2 1
22.4, 3.961, 71, 1 1 -2
20.5, 4.325, 70, 0 0 2
18.1, 4.898, 40, 1 1 0
17.6, 5.041, 40, 1 1 -1
15.9, 5.558, 17, 1 0 0

Atomic structure:
a b c (Å): 6.0015 10.3602 9.3415
angles (deg): 90.00 112.17 90.00
Space group P2_1/c (No. 14)
Unique sites:
B: 0.0512 0.2030 0.3778 (multiplicity 4)
B: 0.1078 0.5881 0.2763 (multiplicity 4)
B: 0.2503 0.7297 0.2688 (multiplicity 4)
B: 0.3941 0.5780 0.2487 (multiplicity 4)
H: 0.0749 0.1793 0.5088 (multiplicity 4)
H: 0.0752 0.5676 0.3923 (multiplicity 4)
H: 0.0853 0.0737 0.3417 (multiplicity 4)
H: 0.1372 0.7075 0.6457 (multiplicity 4)
H: 0.2062 0.0079 0.7387 (multiplicity 4)
H: 0.2080 0.2370 0.8582 (multiplicity 4)
H: 0.3039 0.7029 0.8800 (multiplicity 4)
H: 0.3962 0.5482 0.1246 (multiplicity 4)
H: 0.4283 0.7109 0.2291 (multiplicity 4)
H: 0.4387 0.0461 0.1382 (multiplicity 4)